# 1
Diffraction record for LiCrBr4. The powder diffractogram is computed, not measured: it uses a GGA-PBE-relaxed structure and Cu Ka.
Kinematic intensities with the Lorentz-polarization factor, no thermal factor.

The 10 most intense peaks (2θ = 10–90°), sorted by position:
d/Å  Rel. int.
6.665  100
3.331  49
2.995  33
2.972  47
2.936  94
2.925  65
2.346  27
2.336  62
1.912  38
1.832  40

Cell and atoms:
Cell lengths 6.661, 3.740, 6.674 Å; angles 90.00, 90.54, 90.00 degrees
Atoms (fractional coordinates):
Li  0.000  0.000  0.000
Cr  0.000  0.500  0.500
Br  0.213  0.500  0.811
Br  0.218  0.000  0.357
Br  0.782  0.000  0.643
Br  0.787  0.500  0.189

# 2
Diffraction record for LuThNiAg. The powder diffractogram is computed, not measured: it uses a GGA-PBE-relaxed structure and Cu Ka.
Kinematic intensities with the Lorentz-polarization factor, no thermal factor.

The 10 most intense peaks (2θ = 10–90°), sorted by position:
d/Å  Rel. int.
4.107  3
3.557  17
2.515  100
2.054  6
1.778  18
1.591  8
1.452  36
1.258  11
1.186  4
1.125  16

Cell and atoms:
Cell lengths 5.030, 5.030, 5.030 Å; angles 60.00, 60.00, 60.00 degrees
Atoms (fractional coordinates):
Lu  0.000  0.000  0.000
Th  0.500  0.500  0.500
Ni  0.750  0.750  0.750
Ag  0.250  0.250  0.250

# 3
Diffraction record for Mg5Cd2Pd2Pb. The powder diffractogram is computed, not measured: it uses a GGA-PBE-relaxed structure and Cu Ka.
Kinematic intensities with the Lorentz-polarization factor, no thermal factor.

The 10 most intense peaks (2θ = 10–90°), sorted by position:
d/Å  Rel. int.
3.841  20
3.668  40
3.436  67
2.653  20
2.635  14
2.508  100
2.430  20
2.328  16
1.702  15
1.618  18

Cell and atoms:
Cell lengths 10.865, 10.865, 3.668 Å; angles 90.00, 90.00, 90.00 degrees
Atoms (fractional coordinates):
Mg  0.000  0.500  0.000
Mg  0.085  0.209  0.000
Mg  0.209  0.915  0.000
Mg  0.291  0.415  0.000
Mg  0.415  0.709  0.000
Mg  0.500  0.000  0.000
Mg  0.585  0.291  0.000
Mg  0.709  0.585  0.000
Mg  0.791  0.085  0.000
Mg  0.915  0.791  0.000
Cd  0.168  0.668  0.500
Cd  0.332  0.168  0.500
Cd  0.668  0.832  0.500
Cd  0.832  0.332  0.500
Pd  0.125  0.375  0.500
Pd  0.375  0.875  0.500
Pd  0.625  0.125  0.500
Pd  0.875  0.625  0.500
Pb  0.000  0.000  0.500
Pb  0.500  0.500  0.500

# 4
Diffraction record for La6Tb3Th. The powder diffractogram is computed, not measured: it uses a GGA-PBE-relaxed structure and Cu Ka.
Kinematic intensities with the Lorentz-polarization factor, no thermal factor.

The 10 most intense peaks (2θ = 10–90°), sorted by position:
d/Å  Rel. int.
3.055  49
2.990  100
2.958  71
2.720  22
2.637  31
2.591  32
2.507  20
1.831  41
1.565  25
1.561  59

Cell and atoms:
Cell lengths 3.675, 6.336, 29.955 Å; angles 86.02, 89.98, 89.98 degrees
Atoms (fractional coordinates):
La  0.000  0.138  0.099
La  0.000  0.862  0.901
La  0.001  0.234  0.798
La  0.001  0.402  0.299
La  0.002  0.703  0.401
La  0.498  0.809  0.597
La  0.499  0.629  0.098
La  0.501  0.371  0.902
La  0.502  0.191  0.403
La  0.998  0.297  0.599
La  0.999  0.598  0.701
La  0.999  0.766  0.202
Tb  0.499  0.097  0.700
Tb  0.500  0.000  0.000
Tb  0.500  0.265  0.201
Tb  0.500  0.500  0.500
Tb  0.500  0.735  0.799
Tb  0.501  0.903  0.300
Th  0.000  0.000  0.500
Th  0.000  0.500  0.000

# 5
Diffraction record for Tb7Mg3Ge8. The powder diffractogram is computed, not measured: it uses a GGA-PBE-relaxed structure and Cu Ka.
Kinematic intensities with the Lorentz-polarization factor, no thermal factor.

The 10 most intense peaks (2θ = 10–90°), sorted by position:
d/Å  Rel. int.
3.177  19
2.800  80
2.703  100
2.662  42
2.496  27
2.426  30
2.413  21
2.319  15
2.283  35
1.584  32

Cell and atoms:
Cell lengths 7.810, 7.162, 14.558 Å; angles 90.00, 90.01, 90.00 degrees
Atoms (fractional coordinates):
Tb  0.065  0.000  0.159
Tb  0.067  0.003  0.843
Tb  0.069  0.322  0.381
Tb  0.427  0.661  0.875
Tb  0.428  0.663  0.125
Tb  0.434  0.983  0.348
Tb  0.435  0.981  0.651
Tb  0.565  0.481  0.349
Tb  0.566  0.483  0.652
Tb  0.572  0.163  0.875
Tb  0.573  0.161  0.125
Tb  0.931  0.822  0.619
Tb  0.933  0.503  0.157
Tb  0.935  0.500  0.841
Mg  0.074  0.314  0.626
Mg  0.228  0.331  0.001
Mg  0.266  0.648  0.502
Mg  0.734  0.148  0.498
Mg  0.772  0.831  0.999
Mg  0.926  0.814  0.374
Ge  0.112  0.705  0.000
Ge  0.157  0.017  0.500
Ge  0.215  0.656  0.711
Ge  0.215  0.662  0.290
Ge  0.282  0.322  0.216
Ge  0.282  0.323  0.783
Ge  0.336  0.969  0.000
Ge  0.389  0.277  0.500
Ge  0.611  0.777  0.500
Ge  0.664  0.469  0.000
Ge  0.718  0.822  0.784
Ge  0.718  0.823  0.217
Ge  0.785  0.156  0.289
Ge  0.785  0.162  0.710
Ge  0.843  0.517  0.500
Ge  0.888  0.205  0.000

# 6
Diffraction record for Sm6Dy16Er7. The powder diffractogram is computed, not measured: it uses a GGA-PBE-relaxed structure and Cu Ka.
Kinematic intensities with the Lorentz-polarization factor, no thermal factor.

The 10 most intense peaks (2θ = 10–90°), sorted by position:
d/Å  Rel. int.
3.207  7
3.023  16
2.777  100
2.655  6
2.045  8
1.964  13
1.603  24
1.519  8
1.389  6
1.242  6

Cell and atoms:
Cell lengths 11.108, 11.108, 11.108 Å; angles 60.00, 60.00, 60.00 degrees
Atoms (fractional coordinates):
Sm  0.222  0.222  0.778
Sm  0.222  0.778  0.222
Sm  0.222  0.778  0.778
Sm  0.778  0.222  0.222
Sm  0.778  0.222  0.778
Sm  0.778  0.778  0.222
Dy  0.128  0.624  0.624
Dy  0.152  0.152  0.152
Dy  0.152  0.152  0.545
Dy  0.152  0.545  0.152
Dy  0.376  0.376  0.376
Dy  0.376  0.376  0.872
Dy  0.376  0.872  0.376
Dy  0.455  0.848  0.848
Dy  0.545  0.152  0.152
Dy  0.624  0.128  0.624
Dy  0.624  0.624  0.128
Dy  0.624  0.624  0.624
Dy  0.848  0.455  0.848
Dy  0.848  0.848  0.455
Dy  0.848  0.848  0.848
Dy  0.872  0.376  0.376
Er  0.000  0.000  0.500
Er  0.000  0.500  0.000
Er  0.000  0.500  0.500
Er  0.500  0.000  0.000
Er  0.500  0.000  0.500
Er  0.500  0.500  0.000
Er  0.500  0.500  0.500

# 7
Diffraction record for TlNiSbTe3. The powder diffractogram is computed, not measured: it uses a GGA-PBE-relaxed structure and Cu Ka.
Kinematic intensities with the Lorentz-polarization factor, no thermal factor.

The 10 most intense peaks (2θ = 10–90°), sorted by position:
d/Å  Rel. int.
3.208  70
3.183  100
3.120  18
3.008  54
2.834  24
2.455  21
2.441  31
2.388  27
2.164  37
1.757  23

Cell and atoms:
Cell lengths 9.275, 4.329, 9.824 Å; angles 90.00, 103.39, 90.00 degrees
Atoms (fractional coordinates):
Tl  0.215  0.250  0.170
Tl  0.785  0.750  0.830
Ni  0.443  0.750  0.928
Ni  0.557  0.250  0.072
Sb  0.140  0.250  0.655
Sb  0.860  0.750  0.345
Te  0.159  0.750  0.880
Te  0.188  0.750  0.446
Te  0.481  0.250  0.808
Te  0.519  0.750  0.192
Te  0.812  0.250  0.554
Te  0.841  0.250  0.120

# 8
Diffraction record for Ac2Pm3. The powder diffractogram is computed, not measured: it uses a GGA-PBE-relaxed structure and Cu Ka.
Kinematic intensities with the Lorentz-polarization factor, no thermal factor.

The 10 most intense peaks (2θ = 10–90°), sorted by position:
d/Å  Rel. int.
3.199  65
3.079  78
3.051  34
2.988  100
2.977  77
2.953  98
2.890  92
2.868  43
2.760  43
2.029  28

Cell and atoms:
Cell lengths 6.418, 7.202, 9.048 Å; angles 76.53, 73.30, 88.85 degrees
Atoms (fractional coordinates):
Ac  0.149  0.173  0.292
Ac  0.272  0.914  0.915
Ac  0.728  0.086  0.085
Ac  0.851  0.827  0.708
Pm  0.012  0.341  0.676
Pm  0.389  0.433  0.866
Pm  0.426  0.751  0.489
Pm  0.574  0.249  0.511
Pm  0.611  0.567  0.134
Pm  0.988  0.659  0.324

# 9
Diffraction record for PaMn4Al8. The powder diffractogram is computed, not measured: it uses a GGA-PBE-relaxed structure and Cu Ka.
Kinematic intensities with the Lorentz-polarization factor, no thermal factor.

The 10 most intense peaks (2θ = 10–90°), sorted by position:
d/Å  Rel. int.
6.214  88
4.438  86
3.122  100
3.107  50
2.779  43
2.545  59
2.219  99
2.202  93
2.197  65
1.561  39

Cell and atoms:
Cell lengths 6.725, 6.725, 6.725 Å; angles 98.40, 98.40, 135.04 degrees
Atoms (fractional coordinates):
Pa  0.000  0.000  0.000
Mn  0.000  0.000  0.500
Mn  0.000  0.500  0.000
Mn  0.500  0.000  0.000
Mn  0.500  0.500  0.500
Al  0.000  0.342  0.342
Al  0.000  0.658  0.658
Al  0.277  0.500  0.777
Al  0.342  0.000  0.342
Al  0.500  0.277  0.777
Al  0.500  0.723  0.223
Al  0.658  0.000  0.658
Al  0.723  0.500  0.223

# 10
Diffraction record for LiPmSc4O8. The powder diffractogram is computed, not measured: it uses a GGA-PBE-relaxed structure and Cu Ka.
Kinematic intensities with the Lorentz-polarization factor, no thermal factor.

The 10 most intense peaks (2θ = 10–90°), sorted by position:
d/Å  Rel. int.
5.230  68
4.513  36
3.208  45
3.174  100
2.735  91
2.724  87
2.703  51
1.846  38
1.604  43
1.587  38

Cell and atoms:
Cell lengths 6.349, 6.349, 6.349 Å; angles 60.70, 60.70, 60.70 degrees
Atoms (fractional coordinates):
Li  0.000  0.000  0.000
Pm  0.625  0.625  0.625
Sc  0.006  0.006  0.511
Sc  0.006  0.511  0.006
Sc  0.387  0.387  0.387
Sc  0.511  0.006  0.006
O  0.207  0.770  0.770
O  0.251  0.251  0.251
O  0.267  0.267  0.772
O  0.267  0.772  0.267
O  0.770  0.207  0.770
O  0.770  0.770  0.207
O  0.770  0.770  0.770
O  0.772  0.267  0.267

# 11
Diffraction record for HoPd2. The powder diffractogram is computed, not measured: it uses a GGA-PBE-relaxed structure and Cu Ka.
Kinematic intensities with the Lorentz-polarization factor, no thermal factor.

The 10 most intense peaks (2θ = 10–90°), sorted by position:
d/Å  Rel. int.
2.515  65
2.301  100
1.778  23
1.509  7
1.407  41
1.294  16
1.257  7
1.151  11
1.125  10
1.103  10

Cell and atoms:
Cell lengths 5.180, 5.180, 5.180 Å; angles 139.85, 139.85, 58.09 degrees
Atoms (fractional coordinates):
Ho  0.000  0.000  0.000
Pd  0.334  0.334  0.000
Pd  0.666  0.666  0.000

# 12
Diffraction record for NaSr2TaBr. The powder diffractogram is computed, not measured: it uses a GGA-PBE-relaxed structure and Cu Ka.
Kinematic intensities with the Lorentz-polarization factor, no thermal factor.

The 10 most intense peaks (2θ = 10–90°), sorted by position:
d/Å  Rel. int.
6.417  100
4.987  31
3.208  75
2.870  29
2.698  27
2.491  29
2.269  29
1.969  40
1.882  20
1.678  25

Cell and atoms:
Cell lengths 6.417, 6.417, 4.987 Å; angles 90.00, 90.00, 90.00 degrees
Atoms (fractional coordinates):
Na  0.000  0.000  0.000
Sr  0.000  0.500  0.500
Sr  0.500  0.000  0.500
Ta  0.500  0.500  0.500
Br  0.500  0.500  0.000